[1]
Diffraction record for MgMn4Cd2O8. The powder diffraction line list is simulated, not measured: it uses a crystal structure in the Materials Project, relaxed with PBE+U and Cu Kα.
Lines closer than 0.1° are merged.

Main lines, in order of falling intensity (2θ from 10° to 90°):
2θ/deg  I/Imax
31.9  100
30.9  99
28.2  83
26.8  80
32.6  74
32.5  68

Atomic structure:
```
MgMn4Cd2O8
1.0
6.343 0.000 0.000
-2.896 5.649 0.000
-0.219 -3.418 5.409
Mg Mn Cd O
1 4 2 8
direct
0.000 0.000 0.000 Mg
0.152 0.763 0.343 Mn
0.216 0.301 0.812 Mn
0.229 0.742 0.795 Mn
0.678 0.284 0.867 Mn
0.580 0.514 0.432 Cd
0.708 0.024 0.316 Cd
0.329 0.720 0.092 O
0.383 0.206 0.032 O
0.408 0.776 0.547 O
0.467 0.280 0.627 O
0.872 0.250 0.089 O
0.912 0.776 0.151 O
0.933 0.334 0.691 O
0.986 0.821 0.628 O
```

---

[2]
Diffraction record for NdTlW2O8. The powder diffraction line list is simulated, not measured: it uses a crystal structure in the Materials Project, relaxed with PBE+U and Cu Kα.
Lines closer than 0.1° are merged.

Main lines, in order of falling intensity (2θ from 10° to 90°):
2θ/deg  I/Imax
26.7  100
28.8  74
32.8  33
30.9  33
27.7  20
45.7  16

Atomic structure:
```
NdTlW2O8
1.0
5.511 -5.450 0.000
5.511 5.450 0.000
-4.842 0.000 5.797
Nd Tl W O
2 2 4 16
direct
0.225 0.775 0.750 Nd
0.775 0.225 0.250 Nd
0.204 0.796 0.250 Tl
0.796 0.204 0.750 Tl
0.303 0.312 0.779 W
0.312 0.303 0.279 W
0.688 0.697 0.721 W
0.697 0.688 0.221 W
0.053 0.214 0.189 O
0.071 0.383 0.632 O
0.214 0.053 0.689 O
0.249 0.380 0.059 O
0.371 0.584 0.528 O
0.380 0.249 0.559 O
0.383 0.071 0.132 O
0.416 0.629 0.972 O
0.584 0.371 0.028 O
0.617 0.929 0.868 O
0.620 0.751 0.441 O
0.629 0.416 0.472 O
0.751 0.620 0.941 O
0.786 0.947 0.311 O
0.929 0.617 0.368 O
0.947 0.786 0.811 O
```

---

[3]
Diffraction record for LiTiCrO4. The powder diffraction line list is simulated, not measured: it uses a crystal structure in the Materials Project, relaxed with PBE+U and Cu Kα.
Lines closer than 0.1° are merged.

Main lines, in order of falling intensity (2θ from 10° to 90°):
2θ/deg  I/Imax
19.8  100
33.0  42
51.0  35
36.2  35
35.4  20
39.7  18

Atomic structure:
```
LiTiCrO4
1.0
2.985 0.000 0.000
0.000 5.057 0.000
0.000 0.000 9.648
Li Ti Cr O
2 2 2 8
direct
0.000 0.190 0.000 Li
0.000 0.810 0.500 Li
0.000 0.237 0.321 Ti
0.000 0.763 0.821 Ti
0.500 0.265 0.602 Cr
0.500 0.735 0.102 Cr
0.000 0.039 0.684 O
0.000 0.442 0.500 O
0.000 0.558 0.000 O
0.000 0.961 0.184 O
0.500 0.039 0.429 O
0.500 0.435 0.247 O
0.500 0.565 0.747 O
0.500 0.961 0.929 O
```

---

[4]
Diffraction record for LiFe4B4O12. The powder diffraction line list is simulated, not measured: it uses a crystal structure in the Materials Project, relaxed with PBE+U and Cu Kα.
Lines closer than 0.1° are merged.

Main lines, in order of falling intensity (2θ from 10° to 90°):
2θ/deg  I/Imax
19.7  100
35.6  98
26.1  83
21.6  66
21.3  56
21.4  54

Atomic structure:
```
LiFe4B4O12
1.0
5.343 0.000 0.000
-0.064 9.018 0.000
-2.503 -4.510 10.095
Li Fe B O
2 8 8 24
direct
0.000 0.000 0.000 Li
0.431 0.150 0.260 Li
0.190 0.559 0.769 Fe
0.247 0.940 0.532 Fe
0.450 0.498 0.275 Fe
0.507 0.849 0.021 Fe
0.686 0.067 0.780 Fe
0.745 0.436 0.521 Fe
0.941 0.974 0.279 Fe
0.998 0.365 0.036 Fe
0.191 0.227 0.780 B
0.248 0.600 0.526 B
0.460 0.833 0.283 B
0.482 0.195 0.030 B
0.703 0.728 0.774 B
0.737 0.103 0.527 B
0.943 0.305 0.272 B
0.999 0.691 0.026 B
0.048 0.408 0.228 O
0.062 0.167 0.267 O
0.123 0.495 0.565 O
0.158 0.744 0.535 O
0.192 0.684 0.961 O
0.244 0.878 0.337 O
0.277 0.357 0.765 O
0.309 0.081 0.737 O
0.372 0.339 0.061 O
0.376 0.066 0.044 O
0.464 0.552 0.478 O
0.479 0.719 0.813 O
0.562 0.943 0.240 O
0.569 0.699 0.274 O
0.627 0.013 0.584 O
0.633 0.235 0.517 O
0.715 0.181 0.986 O
0.717 0.335 0.317 O
0.816 0.879 0.800 O
0.817 0.586 0.719 O
0.893 0.561 0.036 O
0.906 0.845 0.080 O
0.953 0.048 0.478 O
0.978 0.228 0.835 O
```

---

[5]
Diffraction record for Li9Mn2Co5O16. The powder diffraction line list is simulated, not measured: it uses a crystal structure in the Materials Project, relaxed with PBE+U and Cu Kα.
Lines closer than 0.1° are merged.

Main lines, in order of falling intensity (2θ from 10° to 90°):
2θ/deg  I/Imax
18.3  100
43.2  28
43.7  27
44.1  26
35.8  15
64.1  15

Atomic structure:
```
Li9Mn2Co5O16
1.0
2.907 0.000 0.000
-0.137 10.147 0.000
-0.118 -3.320 9.673
Li Mn Co O
9 2 5 16
direct
0.000 0.000 0.000 Li
0.002 0.749 0.250 Li
0.006 0.242 0.245 Li
0.497 0.007 0.242 Li
0.499 0.503 0.251 Li
0.501 0.497 0.749 Li
0.503 0.993 0.758 Li
0.994 0.758 0.755 Li
0.998 0.251 0.750 Li
0.500 0.246 0.002 Mn
0.500 0.754 0.998 Mn
0.000 0.000 0.500 Co
0.000 0.500 0.000 Co
0.000 0.500 0.500 Co
0.497 0.750 0.500 Co
0.503 0.250 0.500 Co
0.005 0.372 0.106 O
0.005 0.857 0.111 O
0.009 0.630 0.382 O
0.014 0.129 0.384 O
0.479 0.619 0.614 O
0.486 0.121 0.616 O
0.493 0.385 0.894 O
0.500 0.141 0.117 O
0.500 0.859 0.883 O
0.507 0.615 0.106 O
0.514 0.879 0.384 O
0.521 0.381 0.386 O
0.986 0.871 0.616 O
0.991 0.370 0.618 O
0.995 0.143 0.889 O
0.995 0.628 0.894 O
```

---

[6]
Diffraction record for Sr8Tl3CrCu4O20. The powder diffraction line list is simulated, not measured: it uses a crystal structure in the Materials Project, relaxed with PBE+U and Cu Kα.
Lines closer than 0.1° are merged.

Main lines, in order of falling intensity (2θ from 10° to 90°):
2θ/deg  I/Imax
33.7  100
31.3  84
30.7  81
53.4  30
40.1  28
45.6  27

Atomic structure:
```
Sr8Tl3CrCu4O20
1.0
7.623 -8.995 0.000
7.623 8.995 0.000
0.000 0.000 3.703
Sr Tl Cr Cu O
8 3 1 4 20
direct
0.028 0.725 0.000 Sr
0.232 0.513 0.000 Sr
0.275 0.972 0.000 Sr
0.487 0.768 0.000 Sr
0.513 0.232 0.000 Sr
0.725 0.028 0.000 Sr
0.768 0.487 0.000 Sr
0.972 0.275 0.000 Sr
0.000 0.000 0.500 Tl
0.227 0.227 0.500 Tl
0.773 0.773 0.500 Tl
0.500 0.500 0.500 Cr
0.000 0.500 0.500 Cu
0.253 0.747 0.500 Cu
0.500 0.000 0.500 Cu
0.747 0.253 0.500 Cu
0.000 0.500 0.000 O
0.116 0.884 0.500 O
0.125 0.125 0.000 O
0.131 0.620 0.500 O
0.135 0.363 0.500 O
0.264 0.736 0.000 O
0.363 0.135 0.500 O
0.380 0.869 0.500 O
0.403 0.597 0.500 O
0.416 0.416 0.000 O
0.500 0.000 0.000 O
0.584 0.584 0.000 O
0.597 0.403 0.500 O
0.620 0.131 0.500 O
0.637 0.865 0.500 O
0.736 0.264 0.000 O
0.865 0.637 0.500 O
0.869 0.380 0.500 O
0.875 0.875 0.000 O
0.884 0.116 0.500 O
```